Entry 1:
Calculated powder diffractogram of Li4Al2NiPt for λ = 1.5418 Å (Cu Kα), from a DFT-relaxed cell (PBE, OQMD).

Largest 8 diffraction maxima, most intense first, 2θ from 5° to 70°:
| d (Å) | intensity | hkl |
| --- | --- | --- |
| 3.438 | 100.0 | 1 0 1 |
| 2.105 | 68.0 | 2 0 0 |
| 1.797 | 31.8 | 2 1 1 |
| 2.981 | 22.5 | 1 1 0 |
| 5.941 | 20.8 | 0 0 1 |
| 4.216 | 20.2 | 1 0 0 |
| 1.792 | 15.8 | 1 0 3 |
| 2.664 | 13.4 | 1 1 1 |

Cell and atoms:
Lattice parameters (Å, degrees): 4.216 4.216 5.941 90.00 90.00 90.00
Space group P-4m2 (No. 115)
Unique sites:
1 Li 0.000 0.000 0.000 [1 per cell]
2 Li 0.000 0.500 0.741 [2 per cell]
3 Li 0.500 0.500 0.500 [1 per cell]
4 Al 0.000 0.500 0.256 [2 per cell]
5 Ni 0.000 0.000 0.500 [1 per cell]
6 Pt 0.500 0.500 0.000 [1 per cell]


Entry 2:
Calculated powder diffractogram of Li2Sc2AlNi2Sn for λ = 1.5418 Å (Cu Kα), from a DFT-relaxed cell (PBE, OQMD).

Largest 8 diffraction maxima, most intense first, 2θ from 5° to 70°:
| d (Å) | intensity | hkl |
| --- | --- | --- |
| 2.210 | 100.0 | 1 1 2 |
| 2.200 | 49.7 | 2 0 0 |
| 3.603 | 47.8 | 1 0 1 |
| 4.399 | 18.3 | 1 0 0 |
| 1.555 | 16.0 | 2 2 0 |
| 6.280 | 15.5 | 0 0 1 |
| 1.877 | 15.4 | 2 1 1 |
| 2.787 | 15.2 | 1 1 1 |

Cell and atoms:
Lattice parameters (Å, degrees): 4.399 4.399 6.280 90.00 90.00 90.00
Space group P-4m2 (No. 115)
Unique sites:
1 Li 0.000 0.500 0.240 [2 per cell]
2 Sc 0.000 0.000 0.000 [1 per cell]
3 Sc 0.500 0.500 0.500 [1 per cell]
4 Al 0.500 0.500 0.000 [1 per cell]
5 Ni 0.000 0.500 0.763 [2 per cell]
6 Sn 0.000 0.000 0.500 [1 per cell]


Entry 3:
Calculated powder diffractogram of Li4AlReO6 for λ = 1.5418 Å (Cu Kα), from a DFT-relaxed cell (PBE, OQMD).

Largest 8 diffraction maxima, most intense first, 2θ from 5° to 70°:
| d (Å) | intensity | hkl |
| --- | --- | --- |
| 4.742 | 100.0 | 0 0 1 |
| 4.166 | 89.7 | 1 1 0 |
| 2.054 | 73.5 | 1 3 1 |
| 3.721 | 68.6 | 1 1 -1 |
| 4.358 | 49.9 | 0 2 0 |
| 2.478 | 47.6 | 1 3 0 |
| 3.209 | 47.6 | 0 2 1 |
| 1.453 | 36.1 | 3 3 -1 |

Cell and atoms:
Lattice parameters (Å, degrees): 5.035 8.716 5.034 90.00 109.62 90.00
Space group C2 (No. 5)
Unique sites:
1 Li 0.000 0.000 0.000 [2 per cell]
2 Li 0.000 0.157 0.500 [2 per cell]
3 Li 0.000 0.508 0.500 [2 per cell]
4 Li 0.000 0.840 0.500 [2 per cell]
5 Al 0.000 0.667 0.000 [2 per cell]
6 Re 0.000 0.333 0.000 [2 per cell]
7 O 0.224 0.505 0.230 [4 per cell]
8 O 0.240 0.674 0.773 [4 per cell]
9 O 0.246 0.821 0.228 [4 per cell]


Entry 4:
Calculated powder diffractogram of Li2Ta2AlSnOs2 for λ = 1.5418 Å (Cu Kα), from a DFT-relaxed cell (PBE, OQMD).

Largest 8 diffraction maxima, most intense first, 2θ from 5° to 70°:
| d (Å) | intensity | hkl |
| --- | --- | --- |
| 2.213 | 100.0 | 2 0 0 |
| 3.614 | 54.6 | 1 0 1 |
| 1.885 | 18.3 | 2 1 1 |
| 1.562 | 11.4 | 2 2 0 |
| 1.891 | 9.1 | 1 0 3 |
| 1.437 | 7.5 | 2 1 3 |
| 1.569 | 5.7 | 0 0 4 |
| 1.434 | 3.8 | 3 0 1 |

Cell and atoms:
Lattice parameters (Å, degrees): 4.419 4.419 6.277 90.00 90.00 90.00
Space group P-4m2 (No. 115)
Unique sites:
1 Li 0.000 0.500 0.239 [2 per cell]
2 Ta 0.000 0.000 0.000 [1 per cell]
3 Ta 0.500 0.500 0.500 [1 per cell]
4 Al 0.500 0.500 0.000 [1 per cell]
5 Sn 0.000 0.000 0.500 [1 per cell]
6 Os 0.000 0.500 0.758 [2 per cell]


Entry 5:
Calculated powder diffractogram of LiAlPd2 for λ = 1.5418 Å (Cu Kα), from a DFT-relaxed cell (PBE, OQMD).

Largest 8 diffraction maxima, most intense first, 2θ from 5° to 70°:
| d (Å) | intensity | hkl |
| --- | --- | --- |
| 2.169 | 100.0 | 2 2 0 |
| 2.160 | 98.7 | 0 2 1 |
| 2.079 | 87.9 | 2 0 1 |
| 3.198 | 82.1 | 0 2 0 |
| 2.951 | 66.3 | 2 0 0 |
| 2.928 | 64.9 | 0 0 1 |
| 1.743 | 55.5 | 2 2 1 |
| 1.599 | 18.9 | 0 4 0 |

Cell and atoms:
Lattice parameters (Å, degrees): 5.902 6.396 2.928 90.00 90.00 90.00
Space group Cmmm (No. 65)
Unique sites:
1 Li 0.000 0.000 0.000 [2 per cell]
2 Al 0.000 0.500 0.000 [2 per cell]
3 Pd 0.250 0.250 0.500 [4 per cell]


Entry 6:
Calculated powder diffractogram of Li2Sc2AlSnPd2 for λ = 1.5418 Å (Cu Kα), from a DFT-relaxed cell (PBE, OQMD).

Largest 8 diffraction maxima, most intense first, 2θ from 5° to 70°:
| d (Å) | intensity | hkl |
| --- | --- | --- |
| 2.286 | 100.0 | 1 1 2 |
| 3.721 | 80.7 | 1 0 1 |
| 2.265 | 49.5 | 2 0 0 |
| 1.935 | 26.2 | 2 1 1 |
| 1.602 | 16.4 | 2 2 0 |
| 1.961 | 12.7 | 1 0 3 |
| 2.875 | 11.9 | 1 1 1 |
| 4.530 | 11.8 | 1 0 0 |

Cell and atoms:
Lattice parameters (Å, degrees): 4.530 4.530 6.526 90.00 90.00 90.00
Space group P-4m2 (No. 115)
Unique sites:
1 Li 0.000 0.500 0.241 [2 per cell]
2 Sc 0.000 0.000 0.000 [1 per cell]
3 Sc 0.500 0.500 0.500 [1 per cell]
4 Al 0.500 0.500 0.000 [1 per cell]
5 Sn 0.000 0.000 0.500 [1 per cell]
6 Pd 0.000 0.500 0.765 [2 per cell]


Entry 7:
Calculated powder diffractogram of LiAlPt2 for λ = 1.5418 Å (Cu Kα), from a DFT-relaxed cell (PBE, OQMD).

Largest 8 diffraction maxima, most intense first, 2θ from 5° to 70°:
| d (Å) | intensity | hkl |
| --- | --- | --- |
| 2.172 | 100.0 | 2 2 0 |
| 2.892 | 78.8 | 2 0 0 |
| 3.291 | 55.0 | 0 2 0 |
| 2.045 | 41.8 | 2 0 1 |
| 1.737 | 36.4 | 2 2 1 |
| 1.430 | 19.3 | 2 4 0 |
| 1.645 | 10.6 | 0 4 0 |
| 1.446 | 7.0 | 0 0 2 |

Cell and atoms:
Lattice parameters (Å, degrees): 5.783 6.581 2.893 90.00 90.00 90.00
Space group Cmmm (No. 65)
Unique sites:
1 Li 0.000 0.000 0.000 [2 per cell]
2 Al 0.000 0.500 0.000 [2 per cell]
3 Pt 0.250 0.250 0.500 [4 per cell]